Diffraction record for GaPbBrF4. The powder X-ray diffraction pattern is theoretical, not measured: it uses a DFT-relaxed cell (GGA-PBE, Alexandria) and a wavelength of 1.5418 Å.
Peak positions follow from Bragg's law for the DFT cell and can differ from measured ones.

The 8 most intense peaks (2θ from 5° to 70°), low angle first:
hkl	d_spacing	2theta	Rel. int.
0 0 1	6.764	13.1	39
1 1 -1	5.458	16.2	35
0 2 0	4.011	22.2	100
3 1 -1	3.548	25.1	59
2 0 1	3.470	25.7	33
0 0 2	3.382	26.4	32
1 1 2	2.698	33.2	25
0 0 3	2.255	40.0	32

Structural model:
```
data_GaPbBrF4
_cell_length_a 11.901
_cell_length_b 8.023
_cell_length_c 7.603
_cell_angle_alpha 90.00
_cell_angle_beta 117.16
_cell_angle_gamma 90.00
_symmetry_space_group_name_H-M 'C 1 2/m 1'
_symmetry_Int_Tables_number 12
loop_
_symmetry_equiv_pos_as_xyz
'x,y,z'
'-x,-y,-z'
'-x,y,-z'
'x,-y,z'
'x+1/2,y+1/2,z'
'-x+1/2,-y+1/2,-z'
'-x+1/2,y+1/2,-z'
'x+1/2,-y+1/2,z'
loop_
_atom_site_label
_atom_site_fract_x
_atom_site_fract_y
_atom_site_fract_z
_atom_site_occupancy
Ga1 0.126 0.000 0.206 1
Pb1 0.208 0.500 0.168 1
Br1 0.002 0.500 0.253 1
F1 0.049 0.000 0.890 1
F2 0.162 0.000 0.467 1
F3 0.206 0.189 0.191 1
```